For Na3SnAsCO7, DFT lattice parameters and positions (PBE) gives the calculated powder diffraction line list in this record (a wavelength of 1.5418 Å).

Atomic structure:
```
data_Na3SnAsCO7
_chemical_formula_sum 'Na6 Sn2 As2 C2 O14'
_cell_length_a 5.3470
_cell_length_b 7.4531
_cell_length_c 9.5976
_cell_angle_alpha 90.00
_cell_angle_beta 91.41
_cell_angle_gamma 90.00
_space_group_name_H-M_alt 'P 1 21/m 1'
_space_group_IT_number 11
_space_group_name_Hall '-P 2yb'
loop_
_atom_site_label
_atom_site_type_symbol
_atom_site_fract_x
_atom_site_fract_y
_atom_site_fract_z
Na1 Na 0.2316 0.2500 0.4207
Na2 Na 0.2453 0.5081 0.7511
Sn1 Sn 0.2330 0.7500 0.1432
As1 As 0.2912 0.2500 0.1008
C1 C 0.2696 0.7500 0.4507
O1 O 0.0536 0.7500 0.3820
O2 O 0.1866 0.0675 0.1945
O3 O 0.1949 0.2500 0.9255
O4 O 0.2748 0.7500 0.5852
O5 O 0.3869 0.7500 0.8947
O6 O 0.4780 0.7500 0.3824
```

Top 12 peaks for 2θ = 5–70°, in order of rising 2θ:
d/Å	2θ (°)	I (rel.)
9.595	9.22	100
4.719	18.80	24
4.621	19.21	29
3.727	23.88	71
3.615	24.63	21
3.527	25.25	34
2.925	30.57	27
2.901	30.82	38
2.673	33.53	39
2.597	34.53	28
2.560	35.05	25
2.017	44.94	34